Starting from a crystal structure in Alexandria, relaxed with GGA+U, the powder X-ray diffraction pattern of Ba2FeIO6 was simulated for Cu Kα (λ = 1.5418 Å).
Kinematic intensities with the Lorentz-polarization factor, no thermal factor.

Unit cell a=6.0208 b=6.0208 c=29.9533 alpha=90.00 beta=90.00 gamma=120.00
Space group R-3m (No. 166, hexagonal axes)
Inequivalent atoms, fractional coordinates:
Ba 0.0000 0.0000 0.1238 (multiplicity 6)
Ba 0.0000 0.0000 0.2924 (multiplicity 6)
Fe 0.0000 0.0000 0.4062 (multiplicity 6)
I 0.0000 0.0000 0.0000 (multiplicity 3)
I 0.0000 0.0000 0.5000 (multiplicity 3)
O 0.0097 0.5049 0.7081 (multiplicity 18)
O 0.0345 0.5173 0.1293 (multiplicity 18)

The 10 most intense peaks (10° ≤ 2θ ≤ 90°), low angle first:
22.61 deg, intensity 23, hkl 0 1 5; 26.95 deg, intensity 36, hkl 1 0 7; 29.37 deg, intensity 19, hkl 0 1 8; 29.68 deg, intensity 100, hkl 1 1 0; 34.53 deg, intensity 32, hkl 1 0 10; 40.52 deg, intensity 27, hkl 0 2 7; 46.16 deg, intensity 19, hkl 0 2 10; 52.66 deg, intensity 20, hkl 3 0 0; 55.84 deg, intensity 18, hkl 2 1 10; 61.62 deg, intensity 19, hkl 2 2 0